Record 1
The following is a calculated X-ray powder pattern of TbH4Pd5. It was derived from DFT lattice parameters and positions (PBE), using λ = 1.5418 Å (Cu Kα).

The 6 most intense peaks (15 to 90 degrees two-theta), in order of rising 2θ:
2θ/deg  I/Imax
37.24  100
37.72  96
37.89  88
54.40  33
67.37  19
76.75  24

Structure:
a b c (Å): 5.7918 8.3991 4.7717
angles (deg): 90.00 90.00 90.00
Space group Pmmn (No. 59, origin choice 2)
Asymmetric unit:
1 Tb 0.2500 0.2500 0.2257 x2
2 H 0.0599 0.7500 0.4554 x4
3 H 0.2500 0.5305 0.9112 x4
4 Pd 0.0026 0.5798 0.2462 x8
5 Pd 0.2500 0.7500 0.7691 x2


Record 2
The following is a calculated X-ray powder pattern of Tb3Ni7Ge2. It was derived from DFT lattice parameters and positions (PBE), using λ = 1.5418 Å (Cu Kα).

The 6 most intense peaks (15 to 90 degrees two-theta), in order of rising 2θ:
2θ/deg  I/Imax
28.85  40
32.97  46
38.89  32
39.09  100
44.88  47
47.32  62

Structure:
a b c (Å): 3.8417 3.8417 26.1166
angles (deg): 90.00 90.00 90.00
Space group I4/mmm (No. 139)
Asymmetric unit:
1 Tb 0.0000 0.0000 0.0000 x2
2 Tb 0.0000 0.0000 0.1751 x4
3 Ni 0.0000 0.0000 0.2799 x4
4 Ni 0.0000 0.0000 0.5000 x2
5 Ni 0.0000 0.5000 0.0759 x8
6 Ge 0.0000 0.0000 0.3725 x4


Record 3
The following is a calculated X-ray powder pattern of NdGe2Os. It was derived from DFT lattice parameters and positions (PBE), using λ = 1.5418 Å (Cu Kα).

The 6 most intense peaks (15 to 90 degrees two-theta), in order of rising 2θ:
2θ/deg  I/Imax
16.67  55
30.36  96
31.48  85
34.36  83
39.76  53
40.04  100

Structure:
a b c (Å): 6.1740 10.6345 5.8382
angles (deg): 90.00 121.12 90.00
Space group C2/c (No. 15)
Asymmetric unit:
1 Nd 0.0000 0.1313 0.2500 x4
2 Ge 0.2388 0.3623 0.0803 x8
3 Os 0.0000 0.4661 0.2500 x4


Record 4
The following is a calculated X-ray powder pattern of Y2ZrCo. It was derived from DFT lattice parameters and positions (PBE), using λ = 1.5418 Å (Cu Kα).

The 6 most intense peaks (15 to 90 degrees two-theta), in order of rising 2θ:
2θ/deg  I/Imax
31.95  89
32.27  100
33.07  51
33.36  54
35.04  51
36.20  53

Structure:
a b c (Å): 6.6617 9.3098 6.1848
angles (deg): 90.00 90.00 90.00
Space group Pnma (No. 62)
Asymmetric unit:
1 Y 0.1808 0.0657 0.1783 x8
2 Zr 0.0464 0.2500 0.6486 x4
3 Co 0.1167 0.7500 0.9808 x4